1.
For Li5Co7O3F13, a cell relaxed with PBE+U gives the computed XRD peak list in this record (Cu Kα (weighted mean of Kα1 and Kα2)).

Crystal structure
```
data_Li5Co7O3F13
_cell_length_a 6.038
_cell_length_b 6.091
_cell_length_c 10.582
_cell_angle_alpha 73.37
_cell_angle_beta 73.48
_cell_angle_gamma 60.48
_symmetry_space_group_name_H-M 'P 1'
_symmetry_Int_Tables_number 1
loop_
_symmetry_equiv_pos_as_xyz
'x,y,z'
loop_
_atom_site_label
_atom_site_fract_x
_atom_site_fract_y
_atom_site_fract_z
Li1 0.000 0.000 0.000
Li2 0.002 0.515 0.503
Li3 0.051 0.570 0.814
Li4 0.442 0.962 0.685
Li5 0.562 0.069 0.315
Co1 0.250 0.749 0.242
Co2 0.485 0.522 0.010
Co3 0.500 0.496 0.508
Co4 0.505 0.998 0.002
Co5 0.747 0.259 0.745
Co6 0.927 0.486 0.176
Co7 0.982 0.015 0.508
O1 0.138 0.655 0.118
O2 0.596 0.663 0.120
O3 0.644 0.159 0.619
F1 0.112 0.155 0.618
F2 0.124 0.135 0.119
F3 0.127 0.641 0.620
F4 0.354 0.869 0.385
F5 0.364 0.899 0.882
F6 0.365 0.398 0.382
F7 0.385 0.370 0.882
F8 0.626 0.139 0.114
F9 0.637 0.627 0.620
F10 0.844 0.383 0.876
F11 0.866 0.905 0.875
F12 0.875 0.391 0.382
F13 0.895 0.874 0.379
```

Principal peaks in the range 10 to 90 degrees two-theta, in order of rising 2θ:
- (1 1 1), 2θ = 17.17°, I 370
- (0 0 2), 2θ = 17.75°, I 397
- (1 0 1), 2θ = 17.91°, I 1000
- (1 0 2), 2θ = 22.53°, I 232
- (1 -1 2), 2θ = 34.42°, I 710
- (1 2 3), 2θ = 34.49°, I 548
- (2 1 -1), 2θ = 34.70°, I 229
- (0 2 -2), 2θ = 41.77°, I 448
- (2 2 4), 2θ = 42.04°, I 835
- (2 0 6), 2θ = 60.80°, I 529


2.
For Li5CoO3F, a cell relaxed with PBE+U gives the computed XRD peak list in this record (Cu Kα (weighted mean of Kα1 and Kα2)).

Crystal structure
```
data_Li5CoO3F
_cell_length_a 9.341
_cell_length_b 9.163
_cell_length_c 4.755
_cell_angle_alpha 90.00
_cell_angle_beta 103.74
_cell_angle_gamma 90.00
_symmetry_space_group_name_H-M 'C 1 2/m 1'
_symmetry_Int_Tables_number 12
loop_
_symmetry_equiv_pos_as_xyz
'x,y,z'
'-x,-y,-z'
'-x,y,-z'
'x,-y,z'
'x+1/2,y+1/2,z'
'-x+1/2,-y+1/2,-z'
'-x+1/2,y+1/2,-z'
'x+1/2,-y+1/2,z'
loop_
_atom_site_label
_atom_site_fract_x
_atom_site_fract_y
_atom_site_fract_z
Li1 0.129 0.213 0.384
Li2 0.131 0.301 0.874
Li3 0.140 0.000 0.882
Co1 0.128 0.500 0.376
O1 0.000 0.363 0.500
O2 0.247 0.354 0.254
F1 0.000 0.148 0.000
```

Principal peaks in the range 10 to 90 degrees two-theta, in order of rising 2θ:
- (1 1 0), 2θ = 13.73°, I 607
- (0 0 1), 2θ = 19.22°, I 133
- (2 0 -1), 2θ = 24.01°, I 105
- (1 1 1), 2θ = 25.55°, I 1000
- (0 2 1), 2θ = 27.42°, I 132
- (3 3 -1), 2θ = 43.33°, I 407
- (2 2 -2), 2θ = 44.19°, I 117
- (2 0 2), 2θ = 48.28°, I 166
- (2 4 -2), 2θ = 56.85°, I 142
- (4 4 0), 2θ = 57.15°, I 139


3.
For Li4Co3OF11, a cell relaxed with PBE+U gives the computed XRD peak list in this record (Cu Kα (weighted mean of Kα1 and Kα2)).

Crystal structure
```
data_Li4Co3OF11
_cell_length_a 5.750
_cell_length_b 5.907
_cell_length_c 6.302
_cell_angle_alpha 100.49
_cell_angle_beta 100.76
_cell_angle_gamma 97.63
_symmetry_space_group_name_H-M 'P 1'
_symmetry_Int_Tables_number 1
loop_
_symmetry_equiv_pos_as_xyz
'x,y,z'
loop_
_atom_site_label
_atom_site_fract_x
_atom_site_fract_y
_atom_site_fract_z
Li1 0.000 0.000 0.000
Li2 0.197 0.266 0.580
Li3 0.475 0.814 0.756
Li4 0.728 0.306 0.830
Co1 0.288 0.520 0.090
Co2 0.566 0.042 0.298
Co3 0.877 0.669 0.442
O1 0.557 0.722 0.302
F1 0.059 0.265 0.848
F2 0.191 0.611 0.559
F3 0.265 0.835 0.021
F4 0.308 0.252 0.239
F5 0.467 0.076 0.592
F6 0.480 0.484 0.883
F7 0.682 0.073 0.031
F8 0.762 0.344 0.462
F9 0.809 0.766 0.722
F10 0.962 0.985 0.399
F11 0.969 0.552 0.157
```

Principal peaks in the range 10 to 90 degrees two-theta, in order of rising 2θ:
- (0 0 1), 2θ = 14.64°, I 1000
- (1 0 -1), 2θ = 19.19°, I 971
- (1 1 0), 2θ = 24.16°, I 574
- (1 -1 1), 2θ = 25.17°, I 628
- (1 0 -2), 2θ = 30.42°, I 616
- (0 2 -1), 2θ = 31.63°, I 482
- (1 1 1), 2θ = 31.78°, I 393
- (2 -1 0), 2θ = 33.29°, I 380
- (2 -1 1), 2θ = 38.05°, I 292
- (1 3 0), 2θ = 53.39°, I 355


4.
For Li4CoOF5, a cell relaxed with PBE+U gives the computed XRD peak list in this record (Cu Kα (weighted mean of Kα1 and Kα2)).

Crystal structure
```
data_Li4CoOF5
_cell_length_a 3.719
_cell_length_b 9.408
_cell_length_c 13.159
_cell_angle_alpha 102.63
_cell_angle_beta 90.03
_cell_angle_gamma 90.03
_symmetry_space_group_name_H-M 'P 1'
_symmetry_Int_Tables_number 1
loop_
_symmetry_equiv_pos_as_xyz
'x,y,z'
loop_
_atom_site_label
_atom_site_fract_x
_atom_site_fract_y
_atom_site_fract_z
Li1 0.000 0.000 0.000
Li2 0.000 0.001 0.501
Li3 0.000 0.030 0.303
Li4 0.000 0.302 0.056
Li5 0.000 0.331 0.857
Li6 0.000 0.333 0.359
Li7 0.001 0.031 0.801
Li8 0.499 0.501 0.749
Li9 0.500 0.500 0.251
Li10 0.500 0.529 0.551
Li11 0.500 0.530 0.053
Li12 0.500 0.802 0.306
Li13 0.500 0.833 0.109
Li14 0.501 0.804 0.806
Li15 0.501 0.831 0.608
Li16 0.999 0.301 0.557
Co1 0.000 0.665 0.928
Co2 0.000 0.667 0.430
Co3 0.500 0.166 0.679
Co4 0.500 0.167 0.180
O1 0.000 0.166 0.679
O2 0.000 0.167 0.180
O3 0.500 0.665 0.927
O4 0.500 0.667 0.431
F1 0.000 0.166 0.429
F2 0.000 0.167 0.929
F3 0.000 0.482 0.499
F4 0.000 0.483 0.997
F5 0.000 0.517 0.294
F6 0.000 0.815 0.063
F7 0.000 0.851 0.361
F8 0.001 0.820 0.565
F9 0.001 0.849 0.860
F10 0.497 0.347 0.611
F11 0.499 0.308 0.811
F12 0.500 0.017 0.044
F13 0.500 0.316 0.315
F14 0.500 0.349 0.111
F15 0.500 0.666 0.679
F16 0.500 0.667 0.179
F17 0.500 0.984 0.248
F18 0.501 0.023 0.546
F19 0.503 0.985 0.748
F20 0.999 0.512 0.793
```

Principal peaks in the range 10 to 90 degrees two-theta, in order of rising 2θ:
- (0 1 -2), 2θ = 15.01°, I 1000
- (0 1 2), 2θ = 18.51°, I 498
- (0 2 0), 2θ = 19.34°, I 358
- (1 1 0), 2θ = 25.85°, I 334
- (1 0 -2), 2θ = 27.73°, I 939
- (1 2 -2), 2θ = 32.17°, I 278
- (0 2 4), 2θ = 37.53°, I 570
- (0 4 -4), 2θ = 43.15°, I 514
- (2 0 0), 2θ = 48.99°, I 346
- (1 2 6), 2θ = 56.96°, I 251


5.
For Li4Co3O2F6, a cell relaxed with PBE+U gives the computed XRD peak list in this record (Cu Kα (weighted mean of Kα1 and Kα2)).

Crystal structure
```
data_Li4Co3O2F6
_cell_length_a 5.264
_cell_length_b 5.943
_cell_length_c 10.449
_cell_angle_alpha 89.02
_cell_angle_beta 80.06
_cell_angle_gamma 72.17
_symmetry_space_group_name_H-M 'P -1'
_symmetry_Int_Tables_number 2
loop_
_symmetry_equiv_pos_as_xyz
'x,y,z'
'-x,-y,-z'
loop_
_atom_site_label
_atom_site_fract_x
_atom_site_fract_y
_atom_site_fract_z
Li1 0.001 0.361 0.116
Li2 0.001 0.361 0.617
Li3 0.020 0.873 0.131
Li4 0.020 0.873 0.631
Co1 0.494 0.234 0.248
Co2 0.495 0.233 0.748
Co3 0.500 0.000 0.000
Co4 0.500 0.000 0.500
O1 0.272 0.057 0.176
O2 0.272 0.057 0.676
F1 0.209 0.308 0.931
F2 0.209 0.309 0.431
F3 0.233 0.828 0.435
F4 0.233 0.829 0.934
F5 0.250 0.569 0.207
F6 0.252 0.568 0.708
```

Principal peaks in the range 10 to 90 degrees two-theta, in order of rising 2θ:
- (0 1 0), 2θ = 15.67°, I 338
- (1 0 0), 2θ = 17.98°, I 1000
- (1 1 0), 2θ = 19.91°, I 212
- (0 0 4), 2θ = 34.90°, I 470
- (0 2 -2), 2θ = 35.66°, I 212
- (2 2 2), 2θ = 42.04°, I 510
- (1 0 -4), 2θ = 42.41°, I 521
- (1 -2 2), 2θ = 43.31°, I 518
- (3 2 -2), 2θ = 61.25°, I 270
- (-2 2 2), 2θ = 62.22°, I 280


6.
For Li2CoOF3, a cell relaxed with PBE+U gives the computed XRD peak list in this record (Cu Kα (weighted mean of Kα1 and Kα2)).

Crystal structure
```
data_Li2CoOF3
_cell_length_a 5.355
_cell_length_b 5.388
_cell_length_c 6.002
_cell_angle_alpha 87.49
_cell_angle_beta 87.57
_cell_angle_gamma 60.74
_symmetry_space_group_name_H-M 'P 1'
_symmetry_Int_Tables_number 1
loop_
_symmetry_equiv_pos_as_xyz
'x,y,z'
loop_
_atom_site_label
_atom_site_fract_x
_atom_site_fract_y
_atom_site_fract_z
Li1 0.000 0.000 0.000
Li2 0.041 0.029 0.490
Li3 0.649 0.704 0.653
Li4 0.707 0.636 0.155
Co1 0.302 0.422 0.323
Co2 0.432 0.289 0.815
O1 0.208 0.353 0.049
O2 0.355 0.172 0.547
F1 0.284 0.699 0.701
F2 0.291 0.785 0.230
F3 0.703 0.872 0.908
F4 0.734 0.264 0.238
F5 0.800 0.279 0.750
F6 0.886 0.677 0.403
```

Principal peaks in the range 10 to 90 degrees two-theta, in order of rising 2θ:
- (0 1 0), 2θ = 18.89°, I 769
- (1 0 0), 2θ = 19.00°, I 744
- (1 1 0), 2θ = 19.18°, I 1000
- (1 0 -1), 2θ = 24.41°, I 321
- (0 0 2), 2θ = 29.81°, I 409
- (1 2 0), 2θ = 33.30°, I 228
- (2 1 0), 2θ = 33.50°, I 244
- (1 1 2), 2θ = 34.84°, I 679
- (0 1 -2), 2θ = 35.98°, I 229
- (2 0 0), 2θ = 38.55°, I 267


7.
For Li4CoOF5, a cell relaxed with PBE+U gives the computed XRD peak list in this record (Cu Kα (weighted mean of Kα1 and Kα2)).

Crystal structure
```
data_Li4CoOF5
_cell_length_a 6.678
_cell_length_b 7.541
_cell_length_c 10.137
_cell_angle_alpha 103.59
_cell_angle_beta 101.41
_cell_angle_gamma 108.04
_symmetry_space_group_name_H-M 'P 1'
_symmetry_Int_Tables_number 1
loop_
_symmetry_equiv_pos_as_xyz
'x,y,z'
loop_
_atom_site_label
_atom_site_fract_x
_atom_site_fract_y
_atom_site_fract_z
Li1 0.000 0.000 0.000
Li2 0.033 0.844 0.225
Li3 0.146 0.512 0.726
Li4 0.184 0.364 0.951
Li5 0.249 0.497 0.249
Li6 0.284 0.348 0.478
Li7 0.397 0.012 0.974
Li8 0.433 0.864 0.203
Li9 0.500 0.996 0.500
Li10 0.534 0.845 0.728
Li11 0.649 0.516 0.227
Li12 0.680 0.361 0.453
Li13 0.746 0.496 0.751
Li14 0.789 0.347 0.975
Li15 0.891 0.013 0.477
Li16 0.930 0.860 0.703
Co1 0.090 0.679 0.476
Co2 0.339 0.177 0.725
Co3 0.593 0.684 0.978
Co4 0.841 0.181 0.227
O1 0.216 0.929 0.601
O2 0.465 0.429 0.851
O3 0.716 0.930 0.102
O4 0.966 0.431 0.352
F1 0.025 0.274 0.086
F2 0.059 0.110 0.332
F3 0.110 0.252 0.613
F4 0.158 0.087 0.864
F5 0.217 0.933 0.103
F6 0.272 0.772 0.338
F7 0.320 0.607 0.586
F8 0.359 0.753 0.865
F9 0.410 0.588 0.115
F10 0.465 0.428 0.350
F11 0.521 0.270 0.587
F12 0.571 0.106 0.839
F13 0.623 0.251 0.122
F14 0.657 0.087 0.367
F15 0.715 0.929 0.602
F16 0.774 0.772 0.839
F17 0.820 0.603 0.088
F18 0.863 0.756 0.367
F19 0.907 0.588 0.613
F20 0.965 0.429 0.850
```

Principal peaks in the range 10 to 90 degrees two-theta, in order of rising 2θ:
- (1 0 -1), 2θ = 14.87°, I 1000
- (1 -1 1), 2θ = 18.23°, I 513
- (0 1 -2), 2θ = 19.21°, I 357
- (0 2 0), 2θ = 26.22°, I 314
- (1 1 1), 2θ = 27.98°, I 847
- (1 2 -1), 2θ = 32.42°, I 264
- (2 -2 2), 2θ = 36.95°, I 546
- (2 1 -4), 2θ = 42.91°, I 508
- (0 3 2), 2θ = 49.89°, I 315
- (3 -1 3), 2θ = 56.36°, I 265


8.
For Li5Co2O2F5, a cell relaxed with PBE+U gives the computed XRD peak list in this record (Cu Kα (weighted mean of Kα1 and Kα2)).

Crystal structure
```
data_Li5Co2O2F5
_cell_length_a 2.948
_cell_length_b 2.948
_cell_length_c 28.959
_cell_angle_alpha 90.00
_cell_angle_beta 90.00
_cell_angle_gamma 90.00
_symmetry_space_group_name_H-M 'I 4/m m m'
_symmetry_Int_Tables_number 139
_symmetry_space_group_name_Hall '-I 4 2'
loop_
_atom_site_label
_atom_site_fract_x
_atom_site_fract_y
_atom_site_fract_z
Li1 0.000 0.000 0.000
Li2 0.000 0.000 0.139
Li3 0.000 0.000 0.431
Co1 0.000 0.000 0.281
O1 0.000 0.000 0.210
F1 0.000 0.000 0.069
F2 0.000 0.000 0.362
F3 0.000 0.000 0.500
```

Principal peaks in the range 10 to 90 degrees two-theta, in order of rising 2θ:
- (0 0 4), 2θ = 12.23°, I 915
- (1 0 3), 2θ = 31.73°, I 271
- (1 0 5), 2θ = 34.12°, I 452
- (1 0 9), 2θ = 41.54°, I 524
- (1 1 0), 2θ = 43.40°, I 1000
- (0 0 14), 2θ = 43.76°, I 432
- (1 1 2), 2θ = 43.88°, I 229
- (1 0 11), 2θ = 46.23°, I 242
- (2 0 0), 2θ = 63.06°, I 274
- (1 1 14), 2θ = 63.35°, I 546